No. 1
RbCr2TcBi: calculated PXRD pattern (Cu Kα), based on a crystal structure in Alexandria, relaxed with GGA-PBE.

Lattice parameters (Å, degrees): 4.874 4.874 5.522 90.00 90.00 90.00
Space group P4/mmm (No. 123)
Symmetry-distinct sites (fractional):
Rb  0.000  0.000  0.000 x1
Cr  0.000  0.500  0.500 x2
Tc  0.000  0.000  0.500 x1
Bi  0.500  0.500  0.000 x1

Principal peaks in the range 5° ≤ 2θ ≤ 70°, in order of rising 2θ:
2theta, d/Å, intensity, hkl
24.36, 3.654, 93.9, 1 0 1
25.85, 3.446, 67.9, 1 1 0
30.58, 2.924, 100.0, 1 1 1
32.43, 2.761, 59.8, 0 0 2
36.89, 2.437, 84.1, 2 0 0
49.92, 1.827, 69.6, 2 0 2


No. 2
CrSi3Bi: calculated PXRD pattern (Cu Kα), based on a crystal structure in Alexandria, relaxed with GGA-PBE.

Lattice parameters (Å, degrees): 4.627 4.627 4.627 90.00 90.00 90.00
Space group Pm-3m (No. 221)
Symmetry-distinct sites (fractional):
Cr  0.000  0.000  0.000 x1
Si  0.000  0.000  0.500 x3
Bi  0.500  0.500  0.500 x1

Principal peaks in the range 5° ≤ 2θ ≤ 70°, in order of rising 2θ:
2theta, d/Å, intensity, hkl
19.18, 4.627, 29.5, 1 0 0
27.26, 3.272, 100.0, 1 1 0
33.55, 2.671, 41.7, 1 1 1
38.93, 2.314, 43.8, 2 0 0
48.17, 1.889, 43.2, 2 1 1
56.23, 1.636, 29.6, 2 2 0


No. 3
CrSn2Bi: calculated PXRD pattern (Cu Kα), based on a crystal structure in Alexandria, relaxed with GGA-PBE.

Lattice parameters (Å, degrees): 4.369 4.369 22.149 90.00 90.00 90.00
Space group I-42d (No. 122)
Symmetry-distinct sites (fractional):
Cr  0.000  0.000  0.000 x4
Sn  0.238  0.250  0.125 x8
Bi  0.000  0.000  0.500 x4

Principal peaks in the range 5° ≤ 2θ ≤ 70°, in order of rising 2θ:
2theta, d/Å, intensity, hkl
30.03, 2.976, 100.0, 1 1 2
32.34, 2.769, 41.4, 0 0 8
37.98, 2.369, 53.8, 1 1 6
44.59, 2.032, 68.5, 2 0 4
50.72, 1.800, 23.7, 1 1 10
66.33, 1.409, 32.1, 2 0 12


No. 4
TiCrBi3: calculated PXRD pattern (Cu Kα), based on a crystal structure in Alexandria, relaxed with GGA-PBE.

Lattice parameters (Å, degrees): 5.249 5.249 5.249 90.00 90.00 90.00
Space group Pm-3m (No. 221)
Symmetry-distinct sites (fractional):
Ti  0.000  0.000  0.000 x1
Cr  0.500  0.500  0.500 x1
Bi  0.000  0.500  0.500 x3

Principal peaks in the range 5° ≤ 2θ ≤ 70°, in order of rising 2θ:
2theta, d/Å, intensity, hkl
16.89, 5.249, 33.5, 1 0 0
29.48, 3.030, 100.0, 1 1 1
34.17, 2.624, 71.2, 2 0 0
38.35, 2.347, 18.3, 2 1 0
49.09, 1.856, 51.7, 2 2 0
58.30, 1.583, 46.2, 3 1 1


No. 5
Ti4CrBi2: calculated PXRD pattern (Cu Kα), based on a crystal structure in Alexandria, relaxed with GGA-PBE.

Lattice parameters (Å, degrees): 10.542 10.542 5.101 90.00 90.00 90.00
Space group I4/mcm (No. 140)
Symmetry-distinct sites (fractional):
Ti  0.080  0.192  0.000 x16
Cr  0.000  0.000  0.250 x4
Bi  0.139  0.361  0.500 x8

Principal peaks in the range 5° ≤ 2θ ≤ 70°, in order of rising 2θ:
2theta, d/Å, intensity, hkl
25.73, 3.462, 100.0, 2 1 1
26.74, 3.334, 28.9, 3 1 0
35.39, 2.537, 57.0, 3 2 1
39.42, 2.286, 26.1, 4 1 1
49.75, 1.833, 26.7, 4 0 2
49.90, 1.828, 26.6, 5 2 1


No. 6
CsCu2Bi2O6: calculated PXRD pattern (Cu Kα), based on a crystal structure in Alexandria, relaxed with GGA-PBE.

Lattice parameters (Å, degrees): 6.416 6.579 6.841 90.62 117.78 119.18
Space group P-1 (No. 2)
Symmetry-distinct sites (fractional):
Cs  0.000  0.000  0.000 x1
Cu  0.095  0.730  0.463 x2
Bi  0.355  0.676  0.036 x2
O  0.124  0.623  0.225 x2
O  0.276  0.376  0.775 x2
O  0.334  0.887  0.777 x2

Principal peaks in the range 5° ≤ 2θ ≤ 70°, in order of rising 2θ:
2theta, d/Å, intensity, hkl
15.39, 5.758, 100.0, 0 0 1
27.12, 3.288, 52.1, 1 1 -1
27.81, 3.208, 64.3, -2 1 1
31.23, 2.864, 75.6, -1 2 1
31.43, 2.846, 89.3, 1 1 -2
31.94, 2.802, 32.1, 2 -1 0